# TcOs2Cl
Simulated X-ray powder pattern, Cu Kα, 1.54184 Å. Input: a GGA-PBE-relaxed structure.
Intensities are scaled so that the largest is 1000.

Most intense lines, 2θ = 15–90°, in order of falling intensity:
two_theta  d/Å  Rel. int.
36.34  2.472  1000
43.92  2.061  898
46.98  1.934  711
44.64  2.030  534
34.52  2.598  529
43.29  2.090  392
40.93  2.205  388
47.08  1.930  386
46.86  1.939  373
24.51  3.632  360

abc: 4.6273 4.6273 6.4587
angles: 90.31 90.31 35.30
Fractional coordinates of all 4 atoms:
Tc 0.0000 0.0000 0.0000
Os 0.4275 0.4275 0.6817
Os 0.7117 0.7117 0.8299
Cl 0.4651 0.4651 0.3158

---

# Th6Tc2OsCl3
Simulated X-ray powder pattern, Cu Kα, 1.54184 Å. Input: a GGA-PBE-relaxed structure.
Intensities are scaled so that the largest is 1000.

Most intense lines, 2θ = 15–90°, in order of falling intensity:
two_theta  d/Å  Rel. int.
29.30  3.048  1000
43.59  2.076  407
25.96  3.432  299
40.19  2.244  240
37.12  2.422  209
50.54  1.806  202
53.40  1.716  189
45.25  2.004  127
71.36  1.322  106
37.01  2.429  104

abc: 9.9598 9.9598 9.0269
angles: 109.41 109.41 24.04
Fractional coordinates of all 12 atoms:
Th 0.0139 0.0139 0.2192
Th 0.3206 0.3206 0.4477
Th 0.3447 0.3447 0.8818
Th 0.6553 0.6553 0.1182
Th 0.6794 0.6794 0.5523
Th 0.9861 0.9861 0.7808
Tc 0.1663 0.1663 0.3340
Tc 0.8337 0.8337 0.6660
Os 0.5000 0.5000 0.0000
Cl 0.1689 0.1689 0.8360
Cl 0.5000 0.5000 0.5000
Cl 0.8311 0.8311 0.1640

---

# Te2OsCl12
Simulated X-ray powder pattern, Cu Kα, 1.54184 Å. Input: a GGA-PBE-relaxed structure.
Intensities are scaled so that the largest is 1000.

Most intense lines, 2θ = 15–90°, in order of falling intensity:
two_theta  d/Å  Rel. int.
18.07  4.909  1000
17.78  4.989  976
18.63  4.762  967
39.95  2.257  405
15.23  5.817  333
45.93  1.976  324
24.66  3.611  324
24.99  3.564  309
25.35  3.514  309
41.38  2.182  295

abc: 6.7662 7.1500 11.5446
angles: 72.26 87.87 62.72
Fractional coordinates of all 15 atoms:
Te 0.2346 0.0089 0.2345
Te 0.7654 0.9911 0.7655
Os 0.5000 0.5000 0.0000
Cl 0.0108 0.2454 0.3435
Cl 0.0707 0.7715 0.2930
Cl 0.1091 0.7159 0.9819
Cl 0.4491 0.2760 0.9046
Cl 0.4742 0.2145 0.6012
Cl 0.4889 0.2692 0.1911
Cl 0.5111 0.7308 0.8089
Cl 0.5258 0.7855 0.3988
Cl 0.5509 0.7240 0.0954
Cl 0.8909 0.2841 0.0181
Cl 0.9293 0.2285 0.7070
Cl 0.9892 0.7546 0.6565

---

# TeOsCl4
Simulated X-ray powder pattern, Cu Kα, 1.54184 Å. Input: a GGA-PBE-relaxed structure.
Intensities are scaled so that the largest is 1000.

Most intense lines, 2θ = 15–90°, in order of falling intensity:
two_theta  d/Å  Rel. int.
36.84  2.439  1000
31.27  2.861  868
19.00  4.671  446
55.65  1.652  342
59.35  1.557  321
65.23  1.430  209
74.12  1.279  146
49.08  1.856  132
77.34  1.234  111
68.62  1.368  102

abc: 5.7211 5.7211 5.7211
angles: 60.00 60.00 60.00
Fractional coordinates of all 6 atoms:
Te 0.0000 0.0000 0.0000
Os 0.2500 0.2500 0.2500
Cl 0.1272 0.6243 0.6243
Cl 0.6243 0.1272 0.6243
Cl 0.6243 0.6243 0.1272
Cl 0.6243 0.6243 0.6243

---

# TlOs2Cl11
Simulated X-ray powder pattern, Cu Kα, 1.54184 Å. Input: a GGA-PBE-relaxed structure.
Intensities are scaled so that the largest is 1000.

Most intense lines, 2θ = 15–90°, in order of falling intensity:
two_theta  d/Å  Rel. int.
34.37  2.610  1000
18.83  4.714  830
17.00  5.216  808
25.49  3.494  775
17.14  5.172  752
21.21  4.190  734
25.65  3.473  712
34.67  2.588  712
16.71  5.307  616
25.21  3.532  499

abc: 10.8075 10.8075 10.8660
angles: 119.23 119.23 74.95
Fractional coordinates of all 28 atoms:
Tl 0.2002 0.7998 0.0000
Tl 0.7998 0.2002 0.0000
Os 0.3513 0.3513 0.4110
Os 0.4535 0.4535 0.1070
Os 0.8515 0.8515 0.1282
Os 0.9667 0.9667 0.6313
Cl 0.0710 0.0710 0.8997
Cl 0.0964 0.8503 0.2514
Cl 0.1038 0.3554 0.2829
Cl 0.1800 0.9339 0.6241
Cl 0.2252 0.4730 0.9230
Cl 0.3377 0.3377 0.1677
Cl 0.3448 0.3448 0.6116
Cl 0.3464 0.5923 0.5175
Cl 0.3554 0.1038 0.2829
Cl 0.4258 0.6729 0.2882
Cl 0.4730 0.2252 0.9230
Cl 0.5470 0.5470 0.0237
Cl 0.5923 0.3464 0.5175
Cl 0.6086 0.8575 0.0158
Cl 0.6729 0.4258 0.2882
Cl 0.7445 0.9937 0.6286
Cl 0.8403 0.8403 0.3438
Cl 0.8503 0.0964 0.2514
Cl 0.8531 0.8531 0.9174
Cl 0.8575 0.6086 0.0158
Cl 0.9339 0.1800 0.6241
Cl 0.9937 0.7445 0.6286

---

# Tl2OsCl
Simulated X-ray powder pattern, Cu Kα, 1.54184 Å. Input: a GGA-PBE-relaxed structure.
Intensities are scaled so that the largest is 1000.

Most intense lines, 2θ = 15–90°, in order of falling intensity:
two_theta  d/Å  Rel. int.
34.01  2.636  1000
38.18  2.357  819
36.68  2.450  408
48.87  1.864  364
39.66  2.272  329
16.82  5.271  308
23.87  3.727  191
62.60  1.484  185
61.60  1.506  183
64.66  1.442  168

abc: 5.2792 5.2792 3.0512
angles: 93.12 93.12 89.90
Fractional coordinates of all 4 atoms:
Tl 0.0000 0.5000 0.0000
Tl 0.5000 0.0000 0.0000
Os 0.0000 0.0000 0.5000
Cl 0.5000 0.5000 0.5000

---

# Tl3OsCl7
Simulated X-ray powder pattern, Cu Kα, 1.54184 Å. Input: a GGA-PBE-relaxed structure.
Intensities are scaled so that the largest is 1000.

Most intense lines, 2θ = 15–90°, in order of falling intensity:
two_theta  d/Å  Rel. int.
22.25  3.996  1000
19.11  4.643  707
23.77  3.744  477
25.42  3.505  469
33.11  2.706  463
38.89  2.316  297
39.59  2.276  274
25.21  3.533  258
35.38  2.537  215
42.68  2.118  190

abc: 7.1127 7.1127 7.9229
angles: 109.34 109.34 85.89
Fractional coordinates of all 11 atoms:
Tl 0.0000 0.0000 0.0000
Tl 0.2805 0.7350 0.5085
Tl 0.7350 0.2805 0.5085
Os 0.4947 0.4947 0.9902
Cl 0.1812 0.5257 0.7772
Cl 0.3459 0.3459 0.1423
Cl 0.4608 0.8103 0.1951
Cl 0.5257 0.1812 0.7772
Cl 0.6460 0.6460 0.8401
Cl 0.8103 0.4608 0.1951
Cl 0.9476 0.9476 0.6148

---

# ZnOs2Cl
Simulated X-ray powder pattern, Cu Kα, 1.54184 Å. Input: a GGA-PBE-relaxed structure.
Intensities are scaled so that the largest is 1000.

Most intense lines, 2θ = 15–90°, in order of falling intensity:
two_theta  d/Å  Rel. int.
38.85  2.318  1000
46.96  1.935  736
38.73  2.325  730
44.42  2.040  560
45.99  1.974  536
33.03  2.712  292
77.89  1.226  261
76.77  1.241  252
66.20  1.412  216
46.42  1.956  216

abc: 2.8779 2.8907 7.8240
angles: 90.00 90.00 90.00
Fractional coordinates of all 4 atoms:
Zn 0.0000 0.0000 0.0000
Os 0.0000 0.0000 0.4333
Os 0.5000 0.5000 0.2275
Cl 0.5000 0.0000 0.6942